Structure and theoretical X-ray diffraction stick pattern of Tl3Cd5 (a DFT-relaxed cell (GGA-PBE, Alexandria); Cu Ka).

Crystal structure
```
Tl3Cd5
1.0
2.911 -9.280 0.000
2.911 9.280 0.000
-2.641 0.000 8.106
Tl Cd
6 10
Direct
0.201 0.799 0.000
0.214 0.786 0.500
0.309 0.309 0.617
0.691 0.691 0.383
0.786 0.214 0.500
0.799 0.201 0.000
0.050 0.228 0.283
0.228 0.050 0.283
0.251 0.251 0.999
0.275 0.569 0.807
0.431 0.725 0.193
0.569 0.275 0.807
0.725 0.431 0.193
0.749 0.749 0.001
0.772 0.950 0.717
0.950 0.772 0.717
```

Largest 10 diffraction maxima, by angle, 2θ = 10–90°:
| d_spacing | Position (°2θ) | I (rel.) |
| --- | --- | --- |
| 3.714 | 23.96 | 18 |
| 3.053 | 29.25 | 70 |
| 2.910 | 30.73 | 23 |
| 2.730 | 32.81 | 19 |
| 2.687 | 33.34 | 69 |
| 2.653 | 33.79 | 52 |
| 2.604 | 34.44 | 100 |
| 2.546 | 35.26 | 21 |
| 2.391 | 37.61 | 50 |
| 1.455 | 64.01 | 21 |